# Cs2ZnF3
Computed powder XRD pattern, Cu Kα. Input: the PBE geometry in Alexandria.
Peak positions follow from Bragg's law for the DFT cell and can differ from measured ones.

Structure:
```
data_Cs2ZnF3
_cell_length_a 12.3846
_cell_length_b 6.1814
_cell_length_c 7.7514
_cell_angle_alpha 90.00
_cell_angle_beta 107.96
_cell_angle_gamma 90.00
_space_group_name_H-M_alt 'C 1 2/c 1'
_space_group_IT_number 15
loop_
_space_group_symop_operation_xyz
'x,y,z'
'-x,-y,-z'
'-x,y,-z+1/2'
'x,-y,z+1/2'
'x+1/2,y+1/2,z'
'-x+1/2,-y+1/2,-z'
'-x+1/2,y+1/2,-z+1/2'
'x+1/2,-y+1/2,z+1/2'
loop_
_atom_site_label
_atom_site_type_symbol
_atom_site_fract_x
_atom_site_fract_y
_atom_site_fract_z
Cs1 Cs 0.1662 0.0033 0.0839
Zn1 Zn 0.0000 0.4933 0.7500
F1 F 0.0000 0.1648 0.7500
F2 F 0.1300 0.4974 0.5653
```

Principal peaks in the range 2θ from 15° to 90°, by angle:
index	2θ (°)	Rel. int.
3 1 0	26.90	100
1 1 -2	27.16	91
0 2 0	28.89	65
2 0 2	32.38	54
4 0 -2	32.54	53
2 2 2	43.94	38
4 2 -2	44.06	38
3 3 0	49.99	22

# NpAg3I9
Computed powder XRD pattern, Cu Kα. Input: the PBE geometry in Alexandria.
Peak positions follow from Bragg's law for the DFT cell and can differ from measured ones.

Structure:
```
data_NpAg3I9
_cell_length_a 22.9305
_cell_length_b 8.5359
_cell_length_c 14.4052
_cell_angle_alpha 90.00
_cell_angle_beta 124.89
_cell_angle_gamma 90.00
_space_group_name_H-M_alt 'C 1 c 1'
_space_group_IT_number 9
loop_
_space_group_symop_operation_xyz
'x,y,z'
'x,-y,z+1/2'
'x+1/2,y+1/2,z'
'x+1/2,-y+1/2,z+1/2'
loop_
_atom_site_label
_atom_site_type_symbol
_atom_site_fract_x
_atom_site_fract_y
_atom_site_fract_z
Np1 Np 0.0000 0.2407 0.0000
Ag1 Ag 0.0426 0.2481 0.6666
Ag2 Ag 0.2540 0.1164 0.7388
Ag3 Ag 0.4396 0.4206 0.7712
I1 I 0.0361 0.2365 0.2377
I2 I 0.0765 0.4555 0.5481
I3 I 0.1343 0.0820 0.0654
I4 I 0.1864 0.1757 0.8483
I5 I 0.2393 0.4648 0.9814
I6 I 0.3055 0.2513 0.6233
I7 I 0.3618 0.0979 0.4105
I8 I 0.4306 0.4205 0.9628
I9 I 0.4551 0.2482 0.2517
```

Principal peaks in the range 2θ from 15° to 90°, by angle:
index	2θ (°)	Rel. int.
1 1 1	15.05	100
5 1 -2	22.07	50
5 1 -1	22.80	39
2 2 1	25.76	90
2 0 -4	25.91	92
3 3 -1	33.63	44
7 1 -5	34.88	47
5 3 -1	37.72	53

# Mg6MnBi
Computed powder XRD pattern, Cu Kα. Input: the PBE geometry in Alexandria.
Peak positions follow from Bragg's law for the DFT cell and can differ from measured ones.

Structure:
```
data_Mg6MnBi
_cell_length_a 5.0415
_cell_length_b 6.3859
_cell_length_c 11.1441
_cell_angle_alpha 90.00
_cell_angle_beta 90.00
_cell_angle_gamma 90.00
_space_group_name_H-M_alt 'A m m 2'
_space_group_IT_number 38
loop_
_space_group_symop_operation_xyz
'x,y,z'
'-x,-y,z'
'-x,y,z'
'x,-y,z'
'x,y+1/2,z+1/2'
'-x,-y+1/2,z+1/2'
'-x,y+1/2,z+1/2'
'x,-y+1/2,z+1/2'
loop_
_atom_site_label
_atom_site_type_symbol
_atom_site_fract_x
_atom_site_fract_y
_atom_site_fract_z
Mg1 Mg 0.0000 0.0000 0.0000
Mg2 Mg 0.0000 0.0000 0.4865
Mg3 Mg 0.0000 0.2323 0.2407
Mg4 Mg 0.5000 0.2473 0.5752
Mn1 Mn 0.5000 0.0000 0.3264
Bi1 Bi 0.5000 0.0000 0.8269
```

Principal peaks in the range 2θ from 15° to 90°, by angle:
index	2θ (°)	Rel. int.
0 0 2	15.95	100
1 0 0	17.59	43
1 0 2	23.83	90
0 2 2	32.31	36
2 0 0	35.62	31
1 0 4	36.86	46
1 2 2	37.03	89
2 0 2	39.25	23

# CsAcTl2O4
Computed powder XRD pattern, Cu Kα. Input: the PBE geometry in Alexandria.
Peak positions follow from Bragg's law for the DFT cell and can differ from measured ones.

Structure:
```
data_CsAcTl2O4
_cell_length_a 4.4380
_cell_length_b 4.4380
_cell_length_c 7.8931
_cell_angle_alpha 90.00
_cell_angle_beta 90.00
_cell_angle_gamma 90.00
_space_group_name_H-M_alt 'P 4/m m m'
_space_group_IT_number 123
_space_group_name_Hall '-P 4 2'
loop_
_atom_site_label
_atom_site_type_symbol
_atom_site_fract_x
_atom_site_fract_y
_atom_site_fract_z
Cs1 Cs 0.0000 0.0000 0.0000
Ac1 Ac 0.0000 0.0000 0.5000
Tl1 Tl 0.5000 0.5000 0.2068
O1 O 0.0000 0.5000 0.3093
```

Principal peaks in the range 2θ from 15° to 90°, by angle:
index	2θ (°)	Rel. int.
1 0 1	22.99	16
1 1 0	28.44	57
1 0 2	30.31	100
2 0 0	40.66	31
1 1 3	44.96	14
2 1 2	51.54	46
1 1 4	54.97	11
3 2 2	82.00	12

# Y2Ag7
Computed powder XRD pattern, Cu Kα. Input: the PBE geometry in Alexandria.
Peak positions follow from Bragg's law for the DFT cell and can differ from measured ones.

Structure:
```
data_Y2Ag7
_cell_length_a 9.4748
_cell_length_b 5.4650
_cell_length_c 14.3037
_cell_angle_alpha 90.00
_cell_angle_beta 90.00
_cell_angle_gamma 90.00
_space_group_name_H-M_alt 'C m c m'
_space_group_IT_number 63
_space_group_name_Hall '-C 2c 2'
loop_
_atom_site_label
_atom_site_type_symbol
_atom_site_fract_x
_atom_site_fract_y
_atom_site_fract_z
Y1 Y 0.0000 0.1972 0.1142
Ag1 Ag 0.0000 0.3168 0.7500
Ag2 Ag 0.1600 0.3083 0.5744
Ag3 Ag 0.2466 0.0573 0.7500
```

Principal peaks in the range 2θ from 15° to 90°, by angle:
index	2θ (°)	Rel. int.
0 2 0	32.77	13
3 1 1	33.37	13
0 2 2	35.15	16
1 1 5	36.71	22
0 0 6	37.73	31
3 1 3	37.94	100
4 0 2	40.11	32
4 0 8	65.41	16

# Tb3Pr2YS6
Computed powder XRD pattern, Cu Kα. Input: the PBE geometry in Alexandria.
Peak positions follow from Bragg's law for the DFT cell and can differ from measured ones.

Structure:
```
data_Tb3Pr2YS6
_cell_length_a 17.3781
_cell_length_b 3.9655
_cell_length_c 8.0298
_cell_angle_alpha 90.00
_cell_angle_beta 103.68
_cell_angle_gamma 90.00
_space_group_name_H-M_alt 'C 1 2/m 1'
_space_group_IT_number 12
loop_
_space_group_symop_operation_xyz
'x,y,z'
'-x,-y,-z'
'-x,y,-z'
'x,-y,z'
'x+1/2,y+1/2,z'
'-x+1/2,-y+1/2,-z'
'-x+1/2,y+1/2,-z'
'x+1/2,-y+1/2,z'
loop_
_atom_site_label
_atom_site_type_symbol
_atom_site_fract_x
_atom_site_fract_y
_atom_site_fract_z
Tb1 Tb 0.0000 0.0000 0.0000
Tb2 Tb 0.1688 0.5000 0.3331
Pr1 Pr 0.1675 0.5000 0.8353
Y1 Y 0.0000 0.0000 0.5000
S1 S 0.0042 0.5000 0.2530
S2 S 0.1626 0.0000 0.0926
S3 S 0.1653 0.0000 0.5716
```

Principal peaks in the range 2θ from 15° to 90°, by angle:
index	2θ (°)	Rel. int.
4 0 -2	27.21	19
2 0 2	27.36	18
3 1 0	27.52	36
1 1 -2	31.74	100
7 1 -2	45.43	24
5 1 2	45.62	24
8 0 2	54.09	21
6 2 0	56.80	12

# NpMo2N4
Computed powder XRD pattern, Cu Kα. Input: the PBE geometry in Alexandria.
Peak positions follow from Bragg's law for the DFT cell and can differ from measured ones.

Structure:
```
data_NpMo2N4
_cell_length_a 3.0854
_cell_length_b 9.9024
_cell_length_c 10.2447
_cell_angle_alpha 90.00
_cell_angle_beta 90.00
_cell_angle_gamma 90.00
_space_group_name_H-M_alt 'C m c m'
_space_group_IT_number 63
_space_group_name_Hall '-C 2c 2'
loop_
_atom_site_label
_atom_site_type_symbol
_atom_site_fract_x
_atom_site_fract_y
_atom_site_fract_z
Np1 Np 0.0000 0.1049 0.2500
Mo1 Mo 0.0000 0.3549 0.0594
N1 N 0.0000 0.0000 0.0000
N2 N 0.0000 0.2701 0.6281
N3 N 0.0000 0.4506 0.2500
```

Principal peaks in the range 2θ from 15° to 90°, by angle:
index	2θ (°)	Rel. int.
0 2 1	19.92	47
1 1 1	31.60	46
0 2 3	31.83	100
1 1 2	35.14	63
0 4 0	36.29	27
1 3 1	41.00	50
1 3 2	43.88	33
1 1 5	54.56	29

# Ca3YTm2Te6
Computed powder XRD pattern, Cu Kα. Input: the PBE geometry in Alexandria.
Peak positions follow from Bragg's law for the DFT cell and can differ from measured ones.

Structure:
```
data_Ca3YTm2Te6
_cell_length_a 7.5876
_cell_length_b 13.1250
_cell_length_c 7.7173
_cell_angle_alpha 90.00
_cell_angle_beta 109.15
_cell_angle_gamma 90.00
_space_group_name_H-M_alt 'C 1 2/m 1'
_space_group_IT_number 12
loop_
_space_group_symop_operation_xyz
'x,y,z'
'-x,-y,-z'
'-x,y,-z'
'x,-y,z'
'x+1/2,y+1/2,z'
'-x+1/2,-y+1/2,-z'
'-x+1/2,y+1/2,-z'
'x+1/2,-y+1/2,z'
loop_
_atom_site_label
_atom_site_type_symbol
_atom_site_fract_x
_atom_site_fract_y
_atom_site_fract_z
Ca1 Ca 0.0000 0.0000 0.0000
Ca2 Ca 0.0000 0.3348 0.0000
Y1 Y 0.0000 0.5000 0.5000
Tm1 Tm 0.0000 0.1672 0.5000
Te1 Te 0.2433 0.0000 0.7416
Te2 Te 0.2495 0.3316 0.7427
```

Principal peaks in the range 2θ from 15° to 90°, by angle:
index	2θ (°)	Rel. int.
1 3 1	28.65	100
2 0 2	40.69	38
0 6 0	41.24	37
4 0 0	50.99	20
2 6 2	59.32	12
3 3 3	66.79	17
4 6 0	67.58	17
5 3 1	74.80	12